Diffraction record for Pm3ZnHg3. The X-ray diffraction stick pattern is calculated, not measured: it uses a structure optimized by DFT (GGA-PBE) and Cu Kα (λ = 1.5418 Å).
Peak positions follow from Bragg's law for the DFT cell and can differ from measured ones.

Cell and atoms:
Unit cell a=3.6973 b=4.8557 c=20.4572 alpha=90.00 beta=90.00 gamma=90.00
Space group Imm2 (No. 44)
Inequivalent atoms, fractional coordinates:
Pm 0.0000 0.0000 0.0000
Pm 0.0000 0.0000 0.3844
Pm 0.0000 0.5000 0.1965
Zn 0.0000 0.5000 0.7613
Hg 0.0000 0.0000 0.5461
Hg 0.0000 0.0000 0.8351
Hg 0.0000 0.5000 0.6317

Peak list (8 most intense, 10° ≤ 2θ ≤ 80°, by intensity)
d 2.827, intensity 100
d 2.504, intensity 76
d 2.428, intensity 47
d 2.743, intensity 41
d 2.550, intensity 40
d 1.487, intensity 31
d 2.227, intensity 28
d 1.818, intensity 25